(1)
Calculated powder diffraction line list of Rb3B12H12I for Cu Kα (weighted mean of Kα1 and Kα2), from a GGA-PBE-relaxed structure.
Neutral-atom scattering factors, no anomalous dispersion.

Atomic structure:
Cell: 7.1916 7.1916 7.1916 Å, 93.09 93.09 93.09°
Positions (direct):
Rb 0.0000 0.5000 0.5000
Rb 0.5000 0.0000 0.5000
Rb 0.5000 0.5000 0.0000
B 0.0577 0.0577 0.2279
B 0.0577 0.2279 0.0577
B 0.1190 0.1190 0.8432
B 0.1190 0.8432 0.1190
B 0.1568 0.8810 0.8810
B 0.2279 0.0577 0.0577
B 0.7721 0.9423 0.9423
B 0.8432 0.1190 0.1190
B 0.8810 0.1568 0.8810
B 0.8810 0.8810 0.1568
B 0.9423 0.7721 0.9423
B 0.9423 0.9423 0.7721
H 0.0983 0.0983 0.3901
H 0.0983 0.3901 0.0983
H 0.2045 0.2045 0.7322
H 0.2045 0.7322 0.2045
H 0.2678 0.7955 0.7955
H 0.3901 0.0983 0.0983
H 0.6099 0.9017 0.9017
H 0.7322 0.2045 0.2045
H 0.7955 0.2678 0.7955
H 0.7955 0.7955 0.2678
H 0.9017 0.6099 0.9017
H 0.9017 0.9017 0.6099
I 0.5000 0.5000 0.5000

Main lines, sorted by position (15 to 90 degrees two-theta):
- 21.05°, intensity 24
- 24.84°, intensity 100
- 27.17°, intensity 48
- 28.47°, intensity 48
- 34.36°, intensity 41
- 36.44°, intensity 35
- 36.64°, intensity 29
- 37.64°, intensity 24
- 42.86°, intensity 18
- 56.04°, intensity 23

(2)
Calculated powder diffraction line list of K3Rb8Cd for Cu Kα (weighted mean of Kα1 and Kα2), from a GGA-PBE-relaxed structure.
Neutral-atom scattering factors, no anomalous dispersion.

Atomic structure:
Cell: 15.1199 15.1199 9.5014 Å, 90.00 90.00 120.00°
Positions (direct):
K 0.1597 0.3194 0.0000
K 0.1597 0.8403 0.0000
K 0.3194 0.1597 0.5000
K 0.6806 0.8403 0.0000
K 0.8403 0.1597 0.5000
K 0.8403 0.6806 0.5000
Rb 0.0000 0.0000 0.2527
Rb 0.0000 0.0000 0.7527
Rb 0.0403 0.5202 0.2152
Rb 0.1973 0.3946 0.5053
Rb 0.1973 0.8027 0.5053
Rb 0.3333 0.6667 0.8772
Rb 0.3946 0.1973 0.0053
Rb 0.4798 0.5202 0.2152
Rb 0.4798 0.9597 0.2152
Rb 0.5202 0.0403 0.7152
Rb 0.5202 0.4798 0.7152
Rb 0.6054 0.8027 0.5053
Rb 0.6667 0.3333 0.3772
Rb 0.8027 0.1973 0.0053
Rb 0.8027 0.6054 0.0053
Rb 0.9597 0.4798 0.7152
Cd 0.3333 0.6667 0.3038
Cd 0.6667 0.3333 0.8038

Main lines, sorted by position (15 to 90 degrees two-theta):
- 22.10°, intensity 31
- 22.42°, intensity 24
- 23.13°, intensity 77
- 23.54°, intensity 100
- 26.00°, intensity 17
- 27.76°, intensity 22
- 31.25°, intensity 19
- 33.24°, intensity 17
- 41.13°, intensity 16
- 41.41°, intensity 26

(3)
Calculated powder diffraction line list of Er3TmH8 for Cu Kα (weighted mean of Kα1 and Kα2), from a GGA-PBE-relaxed structure.
Neutral-atom scattering factors, no anomalous dispersion.

Atomic structure:
Cell: 5.0933 5.0933 5.0933 Å, 90.00 90.00 90.00°
Positions (direct):
Er 0.0000 0.0000 0.5000
Er 0.0000 0.5000 0.0000
Er 0.5000 0.0000 0.0000
Tm 0.5000 0.5000 0.5000
H 0.2510 0.2510 0.2510
H 0.2510 0.2510 0.7490
H 0.2510 0.7490 0.2510
H 0.2510 0.7490 0.7490
H 0.7490 0.2510 0.2510
H 0.7490 0.2510 0.7490
H 0.7490 0.7490 0.2510
H 0.7490 0.7490 0.7490

Main lines, sorted by position (15 to 90 degrees two-theta):
- 30.40°, intensity 100
- 35.24°, intensity 49
- 50.70°, intensity 37
- 60.26°, intensity 43
- 63.25°, intensity 12
- 74.52°, intensity 6
- 82.56°, intensity 18
- 85.20°, intensity 17

(4)
Calculated powder diffraction line list of SrTbF4 for Cu Kα (weighted mean of Kα1 and Kα2), from a GGA-PBE-relaxed structure.
Neutral-atom scattering factors, no anomalous dispersion.

Atomic structure:
Cell: 6.7394 6.7394 6.7394 Å, 110.64 110.64 107.16°
Positions (direct):
Sr 0.0000 0.0000 0.0000
Sr 0.7500 0.2500 0.5000
Tb 0.2589 0.7589 0.5000
Tb 0.5089 0.5089 0.0000
F 0.2596 0.5550 0.7046
F 0.2911 0.9730 0.3181
F 0.3050 0.1004 0.7954
F 0.3050 0.5096 0.2046
F 0.6549 0.9730 0.6819
F 0.7230 0.5411 0.8181
F 0.7230 0.9049 0.1819
F 0.8504 0.5550 0.2954

Main lines, sorted by position (15 to 90 degrees two-theta):
- 16.01°, intensity 27
- 23.19°, intensity 100
- 27.71°, intensity 95
- 33.03°, intensity 21
- 43.64°, intensity 78
- 47.41°, intensity 19
- 51.53°, intensity 22
- 53.43°, intensity 16
- 55.80°, intensity 24
- 66.40°, intensity 15

> Number 3 is which compound?

Er3TmH8